Calculated X-ray powder pattern
Compound: LaSm5Ho12
Radiation: Cu Ka
Structure: a DFT-relaxed cell (GGA-PBE, Alexandria)

a b c (Å): 10.6935 10.6935 6.1731
angles (deg): 106.59 106.59 60.01
Positions (direct):
La: 0.0000 0.0000 0.0000
Sm: 0.1673 0.1673 0.5015
Sm: 0.3330 0.3330 0.0004
Sm: 0.5000 0.5000 0.5000
Sm: 0.6670 0.6670 0.9996
Sm: 0.8327 0.8327 0.4985
Ho: 0.0010 0.6639 0.9990
Ho: 0.1659 0.5008 0.5008
Ho: 0.1690 0.8310 0.5000
Ho: 0.3337 0.6663 0.0000
Ho: 0.3361 0.9990 0.0010
Ho: 0.4992 0.8341 0.4992
Ho: 0.5008 0.1659 0.5008
Ho: 0.6639 0.0010 0.9990
Ho: 0.6663 0.3337 0.0000
Ho: 0.8310 0.1690 0.5000
Ho: 0.8341 0.4992 0.4992
Ho: 0.9990 0.3361 0.0010

Largest 10 diffraction maxima, low angle first, 10 to 80 degrees two-theta:
- 2θ = 30.71°, I = 100
- 2θ = 35.57°, I = 34
- 2θ = 35.67°, I = 17
- 2θ = 51.11°, I = 6
- 2θ = 51.26°, I = 30
- 2θ = 60.88°, I = 29
- 2θ = 61.02°, I = 14
- 2θ = 63.89°, I = 6
- 2θ = 64.01°, I = 6
- 2θ = 75.30°, I = 4

=====

Calculated X-ray powder pattern
Compound: La4SmHo
Radiation: Cu Ka
Structure: a DFT-relaxed cell (GGA-PBE, Alexandria)

a b c (Å): 6.4630 6.4630 6.1176
angles (deg): 90.00 90.00 123.39
Positions (direct):
La: 0.1573 0.8427 0.0000
La: 0.3423 0.6577 0.5000
La: 0.6577 0.3423 0.5000
La: 0.8427 0.1573 0.0000
Sm: 0.5000 0.5000 0.0000
Ho: 0.0000 0.0000 0.5000

Largest 10 diffraction maxima, low angle first, 10 to 80 degrees two-theta:
- 2θ = 29.17°, I = 61
- 2θ = 31.35°, I = 100
- 2θ = 41.72°, I = 23
- 2θ = 47.96°, I = 7
- 2θ = 53.10°, I = 45
- 2θ = 57.12°, I = 17
- 2θ = 65.42°, I = 11
- 2θ = 68.53°, I = 11
- 2θ = 69.71°, I = 10
- 2θ = 78.86°, I = 6

=====

Calculated X-ray powder pattern
Compound: La6Sm2Ho3
Radiation: Cu Ka
Structure: a DFT-relaxed cell (GGA-PBE, Alexandria)

a b c (Å): 6.3212 8.1808 8.2113
angles (deg): 107.66 97.30 104.67
Positions (direct):
La: 0.0458 0.1837 0.4121
La: 0.2264 0.9078 0.0481
La: 0.3156 0.2733 0.8622
La: 0.6844 0.7267 0.1378
La: 0.7736 0.0922 0.9519
La: 0.9542 0.8163 0.5879
Sm: 0.4105 0.6365 0.6799
Sm: 0.5895 0.3635 0.3201
Ho: 0.1372 0.5456 0.2287
Ho: 0.5000 0.0000 0.5000
Ho: 0.8628 0.4544 0.7713

Largest 10 diffraction maxima, low angle first, 10 to 80 degrees two-theta:
- 2θ = 29.85°, I = 100
- 2θ = 30.02°, I = 33
- 2θ = 34.61°, I = 45
- 2θ = 34.74°, I = 22
- 2θ = 49.68°, I = 16
- 2θ = 49.80°, I = 16
- 2θ = 49.96°, I = 16
- 2θ = 59.04°, I = 19
- 2θ = 59.15°, I = 14
- 2θ = 59.27°, I = 14

=====

Calculated X-ray powder pattern
Compound: LaSm2Ho9
Radiation: Cu Ka
Structure: a DFT-relaxed cell (GGA-PBE, Alexandria)

a b c (Å): 5.0363 5.0363 15.1158
angles (deg): 90.00 90.00 90.00
Positions (direct):
La: 0.0000 0.0000 0.0000
Sm: 0.0000 0.0000 0.3336
Sm: 0.0000 0.0000 0.6664
Ho: 0.0000 0.5000 0.1692
Ho: 0.0000 0.5000 0.5000
Ho: 0.0000 0.5000 0.8308
Ho: 0.5000 0.0000 0.1692
Ho: 0.5000 0.0000 0.5000
Ho: 0.5000 0.0000 0.8308
Ho: 0.5000 0.5000 0.0000
Ho: 0.5000 0.5000 0.3348
Ho: 0.5000 0.5000 0.6652

Largest 6 diffraction maxima, low angle first, 10 to 80 degrees two-theta:
- 2θ = 30.74°, I = 100
- 2θ = 35.65°, I = 51
- 2θ = 51.30°, I = 36
- 2θ = 61.01°, I = 43
- 2θ = 64.03°, I = 12
- 2θ = 75.50°, I = 6

=====

Calculated X-ray powder pattern
Compound: La3Sm4Ho4
Radiation: Cu Ka
Structure: a DFT-relaxed cell (GGA-PBE, Alexandria)

a b c (Å): 10.8201 6.7320 6.7320
angles (deg): 50.82 90.00 90.00
Positions (direct):
La: 0.0000 0.0000 0.0000
La: 0.2876 0.1587 0.1587
La: 0.7124 0.1587 0.1587
Sm: 0.0000 0.7031 0.7031
Sm: 0.2163 0.4953 0.4953
Sm: 0.5000 0.6328 0.6328
Sm: 0.7837 0.4953 0.4953
Ho: 0.0000 0.3052 0.3052
Ho: 0.3047 0.8540 0.8540
Ho: 0.5000 0.3608 0.3608
Ho: 0.6953 0.8540 0.8540

Largest 10 diffraction maxima, low angle first, 10 to 80 degrees two-theta:
- 2θ = 30.12°, I = 28
- 2θ = 30.54°, I = 15
- 2θ = 30.96°, I = 37
- 2θ = 31.63°, I = 100
- 2θ = 33.12°, I = 16
- 2θ = 44.04°, I = 11
- 2θ = 45.96°, I = 13
- 2θ = 55.49°, I = 20
- 2θ = 61.37°, I = 13
- 2θ = 61.63°, I = 11

=====

Calculated X-ray powder pattern
Compound: La6SmHo4
Radiation: Cu Ka
Structure: a DFT-relaxed cell (GGA-PBE, Alexandria)

a b c (Å): 5.7522 5.7522 26.3211
angles (deg): 90.00 90.00 118.07
Positions (direct):
La: 0.0000 0.0000 0.0000
La: 0.0000 0.0000 0.5000
La: 0.0428 0.9572 0.7500
La: 0.3080 0.6920 0.0974
La: 0.3080 0.6920 0.4026
La: 0.3681 0.6319 0.6813
La: 0.3681 0.6319 0.8187
La: 0.6319 0.3681 0.1813
La: 0.6319 0.3681 0.3187
La: 0.6920 0.3080 0.5974
La: 0.6920 0.3080 0.9026
La: 0.9572 0.0428 0.2500
Sm: 0.2972 0.7028 0.2500
Sm: 0.7028 0.2972 0.7500
Ho: 0.0330 0.9670 0.6246
Ho: 0.0330 0.9670 0.8754
Ho: 0.3452 0.6548 0.5454
Ho: 0.3452 0.6548 0.9546
Ho: 0.6548 0.3452 0.0454
Ho: 0.6548 0.3452 0.4546
Ho: 0.9670 0.0330 0.1246
Ho: 0.9670 0.0330 0.3754

Largest 10 diffraction maxima, low angle first, 10 to 80 degrees two-theta:
- 2θ = 29.57°, I = 64
- 2θ = 29.88°, I = 53
- 2θ = 30.20°, I = 74
- 2θ = 31.11°, I = 100
- 2θ = 31.30°, I = 33
- 2θ = 32.43°, I = 63
- 2θ = 43.00°, I = 39
- 2θ = 53.23°, I = 21
- 2θ = 54.21°, I = 23
- 2θ = 56.02°, I = 24

=====

Calculated X-ray powder pattern
Compound: La5Sm4Ho4
Radiation: Cu Ka
Structure: a DFT-relaxed cell (GGA-PBE, Alexandria)

a b c (Å): 9.6599 9.6599 9.6599
angles (deg): 94.05 94.05 149.17
Positions (direct):
La: 0.0000 0.0000 0.0000
La: 0.3074 0.4599 0.7673
La: 0.4599 0.6926 0.1525
La: 0.5401 0.3074 0.8475
La: 0.6926 0.5401 0.2327
Sm: 0.0763 0.6149 0.6912
Sm: 0.3851 0.0763 0.4615
Sm: 0.6149 0.9237 0.5385
Sm: 0.9237 0.3851 0.3088
Ho: 0.1552 0.2340 0.3892
Ho: 0.2340 0.8448 0.0788
Ho: 0.7660 0.1552 0.9212
Ho: 0.8448 0.7660 0.6108

Largest 10 diffraction maxima, low angle first, 10 to 80 degrees two-theta:
- 2θ = 30.02°, I = 100
- 2θ = 34.73°, I = 34
- 2θ = 34.94°, I = 17
- 2θ = 49.94°, I = 12
- 2θ = 50.09°, I = 24
- 2θ = 59.37°, I = 29
- 2θ = 59.65°, I = 14
- 2θ = 62.40°, I = 12
- 2θ = 73.31°, I = 4
- 2θ = 73.81°, I = 2

=====

Calculated X-ray powder pattern
Compound: La3Sm6Ho
Radiation: Cu Ka
Structure: a DFT-relaxed cell (GGA-PBE, Alexandria)

a b c (Å): 6.9116 6.9116 8.8827
angles (deg): 100.24 100.24 59.44
Positions (direct):
La: 0.0000 0.0000 0.0000
La: 0.4734 0.4734 0.6755
La: 0.5266 0.5266 0.3245
Sm: 0.0267 0.4886 0.3220
Sm: 0.3144 0.3144 0.9961
Sm: 0.4886 0.0267 0.3220
Sm: 0.5114 0.9733 0.6780
Sm: 0.6856 0.6856 0.0039
Sm: 0.9733 0.5114 0.6780
Ho: 0.0000 0.0000 0.5000

Largest 10 diffraction maxima, low angle first, 10 to 80 degrees two-theta:
- 2θ = 27.97°, I = 20
- 2θ = 29.87°, I = 22
- 2θ = 30.19°, I = 64
- 2θ = 30.39°, I = 100
- 2θ = 30.86°, I = 60
- 2θ = 32.96°, I = 44
- 2θ = 33.29°, I = 36
- 2θ = 48.68°, I = 16
- 2θ = 53.48°, I = 15
- 2θ = 53.93°, I = 32

=====

Calculated X-ray powder pattern
Compound: La16Sm7Ho6
Radiation: Cu Ka
Structure: a DFT-relaxed cell (GGA-PBE, Alexandria)

a b c (Å): 11.4980 11.4980 11.4980
angles (deg): 60.00 60.00 60.00
Positions (direct):
La: 0.0491 0.6503 0.6503
La: 0.1250 0.1250 0.1250
La: 0.1250 0.1250 0.6251
La: 0.1250 0.6251 0.1250
La: 0.3497 0.3497 0.3497
La: 0.3497 0.3497 0.9509
La: 0.3497 0.9509 0.3497
La: 0.3749 0.8750 0.8750
La: 0.6251 0.1250 0.1250
La: 0.6503 0.0491 0.6503
La: 0.6503 0.6503 0.0491
La: 0.6503 0.6503 0.6503
La: 0.8750 0.3749 0.8750
La: 0.8750 0.8750 0.3749
La: 0.8750 0.8750 0.8750
La: 0.9509 0.3497 0.3497
Sm: 0.0000 0.0000 0.0000
Sm: 0.0000 0.0000 0.5000
Sm: 0.0000 0.5000 0.0000
Sm: 0.0000 0.5000 0.5000
Sm: 0.5000 0.0000 0.0000
Sm: 0.5000 0.0000 0.5000
Sm: 0.5000 0.5000 0.0000
Ho: 0.2619 0.2619 0.7381
Ho: 0.2619 0.7381 0.2619
Ho: 0.2619 0.7381 0.7381
Ho: 0.7381 0.2619 0.2619
Ho: 0.7381 0.2619 0.7381
Ho: 0.7381 0.7381 0.2619

Largest 10 diffraction maxima, low angle first, 10 to 80 degrees two-theta:
- 2θ = 24.48°, I = 5
- 2θ = 26.86°, I = 7
- 2θ = 28.52°, I = 8
- 2θ = 31.11°, I = 100
- 2θ = 32.58°, I = 5
- 2θ = 34.90°, I = 5
- 2θ = 44.58°, I = 15
- 2θ = 55.36°, I = 29
- 2θ = 64.88°, I = 8
- 2θ = 73.70°, I = 8

=====

Calculated X-ray powder pattern
Compound: La5Sm3Ho
Radiation: Cu Ka
Structure: a DFT-relaxed cell (GGA-PBE, Alexandria)

a b c (Å): 9.0820 9.0820 11.2713
angles (deg): 120.89 120.89 59.09
Positions (direct):
La: 0.0312 0.9688 0.7500
La: 0.1184 0.2186 0.6493
La: 0.2186 0.1184 0.1493
La: 0.2505 0.6117 0.8919
La: 0.3883 0.7495 0.6081
La: 0.6117 0.2505 0.3919
La: 0.7495 0.3883 0.1081
La: 0.7814 0.8816 0.8507
La: 0.8816 0.7814 0.3507
La: 0.9688 0.0312 0.2500
Sm: 0.0000 0.5000 0.0000
Sm: 0.1942 0.4346 0.4866
Sm: 0.4346 0.1942 0.9866
Sm: 0.5000 0.0000 0.5000
Sm: 0.5654 0.8058 0.0134
Sm: 0.8058 0.5654 0.5134
Ho: 0.3735 0.6265 0.2500
Ho: 0.6265 0.3735 0.7500

Largest 10 diffraction maxima, low angle first, 10 to 80 degrees two-theta:
- 2θ = 25.97°, I = 44
- 2θ = 30.00°, I = 50
- 2θ = 30.11°, I = 94
- 2θ = 30.33°, I = 62
- 2θ = 30.76°, I = 65
- 2θ = 30.94°, I = 91
- 2θ = 31.26°, I = 100
- 2θ = 31.93°, I = 68
- 2θ = 32.13°, I = 40
- 2θ = 33.60°, I = 59

=====

Calculated X-ray powder pattern
Compound: La3Sm4Ho
Radiation: Cu Ka
Structure: a DFT-relaxed cell (GGA-PBE, Alexandria)

a b c (Å): 11.8433 6.3421 7.3583
angles (deg): 90.00 90.00 90.00
Positions (direct):
La: 0.0000 0.1682 0.0000
La: 0.2484 0.9985 0.7510
La: 0.2516 0.0015 0.2510
La: 0.5000 0.8318 0.5000
La: 0.7484 0.0015 0.2510
La: 0.7516 0.9985 0.7510
Sm: 0.0000 0.1675 0.5009
Sm: 0.0000 0.6681 0.2503
Sm: 0.2492 0.4992 0.4998
Sm: 0.2508 0.5008 0.9998
Sm: 0.5000 0.3319 0.7503
Sm: 0.5000 0.8325 0.0009
Sm: 0.7492 0.5008 0.9998
Sm: 0.7508 0.4992 0.4998
Ho: 0.0000 0.6668 0.7486
Ho: 0.5000 0.3332 0.2486

Largest 10 diffraction maxima, low angle first, 10 to 80 degrees two-theta:
- 2θ = 29.09°, I = 45
- 2θ = 30.18°, I = 35
- 2θ = 31.96°, I = 100
- 2θ = 36.28°, I = 25
- 2θ = 47.89°, I = 11
- 2θ = 49.74°, I = 17
- 2θ = 54.74°, I = 22
- 2θ = 59.13°, I = 10
- 2θ = 59.29°, I = 21
- 2θ = 60.22°, I = 11

=====

Calculated X-ray powder pattern
Compound: La3SmHo4
Radiation: Cu Ka
Structure: a DFT-relaxed cell (GGA-PBE, Alexandria)

a b c (Å): 9.0308 9.0308 9.0308
angles (deg): 157.71 98.29 86.01
Positions (direct):
La: 0.0000 0.0000 0.0000
La: 0.2572 0.7572 0.5000
La: 0.7428 0.2428 0.5000
Sm: 0.5000 0.5000 0.0000
Ho: 0.1185 0.3656 0.7529
Ho: 0.3873 0.6344 0.7529
Ho: 0.6127 0.3656 0.2471
Ho: 0.8815 0.6344 0.2471

Largest 10 diffraction maxima, low angle first, 10 to 80 degrees two-theta:
- 2θ = 26.41°, I = 20
- 2θ = 29.92°, I = 49
- 2θ = 30.26°, I = 55
- 2θ = 30.50°, I = 28
- 2θ = 31.03°, I = 100
- 2θ = 36.19°, I = 32
- 2θ = 37.00°, I = 28
- 2θ = 54.24°, I = 21
- 2θ = 57.68°, I = 15
- 2θ = 62.17°, I = 28